Li3TlRh: calculated X-ray powder pattern (copper Kα), based on a crystal structure in Alexandria, relaxed with GGA-PBE.
No peak broadening, texture or thermal motion is included.

Peak list (6 most intense, 10 to 80 degrees two-theta, in order of falling intensity)
23.33°, rel. 100, hkl 1 1 0; 23.87°, rel. 50, hkl 0 2 0; 40.55°, rel. 48, hkl 1 1 2; 41.66°, rel. 24, hkl 1 3 0; 40.88°, rel. 22, hkl 0 2 2; 53.93°, rel. 20, hkl 1 3 2

Crystal structure
Lattice parameters (Å, degrees): 4.4370 7.4550 5.4785 90.00 90.02 90.00
Atoms (fractional coordinates):
Li: 0.2495 0.0647 0.3306
Li: 0.2493 0.2500 0.7422
Li: 0.2495 0.4353 0.3306
Li: 0.7505 0.5647 0.6694
Li: 0.7507 0.7500 0.2578
Li: 0.7505 0.9353 0.6694
Tl: 0.2506 0.7500 0.9707
Tl: 0.7494 0.2500 0.0293
Rh: 0.2507 0.7500 0.4840
Rh: 0.7493 0.2500 0.5160